No. 1
Cd5Te: theoretical powder XRD pattern (a wavelength of 1.5418 Å), based on a structure optimized by DFT (GGA-PBE).
Lines closer than 0.1° are merged.

Most intense lines, 2θ from 5° to 70°, in order of falling intensity:
2θ (°), I (rel.)
31.59, 100
28.53, 58
34.39, 40
35.14, 34
39.08, 31
40.43, 31
43.71, 29
42.77, 26
42.44, 20
52.54, 18
65.91, 17
60.87, 13

```
Cd5Te
1.0
6.8305 -1.7417 0.0000
6.8305 1.7417 0.0000
-3.9012 0.0000 6.6930
Cd Te
5 1
Cartesian
0.0000 0.0000 0.0000
-0.9189 0.0000 6.4925
4.4863 0.0000 4.4274
6.7619 0.0000 2.4229
10.9269 0.0000 1.9149
1.3974 0.0000 4.5241
```


No. 2
Pm4Hg3Bi: theoretical powder XRD pattern (a wavelength of 1.5418 Å), based on a structure optimized by DFT (GGA-PBE).
Lines closer than 0.1° are merged.

Most intense lines, 2θ from 5° to 70°, in order of falling intensity:
2θ (°), I (rel.)
33.01, 100
32.90, 51
58.81, 39
59.03, 19
47.21, 19
69.25, 12
47.54, 9
68.99, 6
23.10, 3
40.68, 1
53.23, 1
23.26, 1

```
Pm4Hg3Bi
1.0
10.8908 0.0000 0.0000
0.0000 7.6499 0.0000
0.0000 0.0000 5.4448
Pm Hg Bi
8 6 2
Cartesian
0.0000 1.8709 0.0000
0.0000 5.7790 0.0000
2.7227 1.8708 2.7186
2.7227 5.7791 2.7186
5.4454 1.8709 0.0000
5.4454 5.7790 0.0000
8.1681 1.8708 2.7262
8.1681 5.7791 2.7262
0.0000 0.0000 2.7224
2.7227 0.0000 5.4408
2.7227 3.8250 5.4384
5.4454 0.0000 2.7224
8.1681 0.0000 0.0040
8.1681 3.8250 0.0063
0.0000 3.8250 2.7224
5.4454 3.8250 2.7224
```


No. 3
Tb3Nd6Sc2: theoretical powder XRD pattern (a wavelength of 1.5418 Å), based on a structure optimized by DFT (GGA-PBE).
Lines closer than 0.1° are merged.

Most intense lines, 2θ from 5° to 70°, in order of falling intensity:
2θ (°), I (rel.)
30.69, 100
36.02, 64
7.94, 31
32.15, 28
61.47, 26
50.88, 24
52.82, 19
63.91, 12
31.75, 12
23.98, 11
63.20, 10
28.85, 10

```
Tb3Nd6Sc2
1.0
3.1065 -5.3875 0.0000
3.1065 5.3875 0.0000
-2.0801 0.0000 11.1350
Tb Nd Sc
3 6 2
Cartesian
0.0000 0.0000 0.0000
3.1065 1.7932 0.0000
3.1065 -1.7932 0.0000
1.0378 1.7855 2.9398
0.0063 0.0000 8.1956
1.0378 -1.7855 2.9398
3.0951 1.7855 8.1953
4.1266 0.0000 2.9394
3.0951 -1.7855 8.1953
2.0664 3.5903 5.5675
2.0664 -3.5903 5.5675
```


No. 4
KIrI6: theoretical powder XRD pattern (a wavelength of 1.5418 Å), based on a structure optimized by DFT (GGA-PBE).
Lines closer than 0.1° are merged.

Most intense lines, 2θ from 5° to 70°, in order of falling intensity:
2θ (°), I (rel.)
11.55, 100
14.45, 68
29.14, 56
30.19, 53
30.38, 35
31.75, 28
26.29, 27
16.86, 24
32.61, 19
30.48, 19
41.66, 16
28.58, 15

```
KIrI6
1.0
6.8823 0.0000 0.0000
3.3647 6.1544 0.0000
2.3354 0.6988 7.6612
K Ir I
1 1 6
Cartesian
0.0000 0.0000 0.0000
6.2912 3.4266 3.8306
4.9852 3.3465 6.1688
4.0480 3.3915 2.2875
6.2502 6.0965 3.8796
6.3321 0.7567 3.7816
8.5343 3.4617 5.3737
7.5972 3.5068 1.4924
```


No. 5
HoScGa2Cu2: theoretical powder XRD pattern (a wavelength of 1.5418 Å), based on a structure optimized by DFT (GGA-PBE).
Lines closer than 0.1° are merged.

Most intense lines, 2θ from 5° to 70°, in order of falling intensity:
2θ (°), I (rel.)
35.95, 100
42.07, 68
27.38, 37
56.50, 26
59.53, 15
40.12, 8
54.43, 7
50.92, 7
68.12, 6
13.13, 5
23.92, 5
60.27, 2

```
HoScGa2Cu2
1.0
4.2959 0.0000 0.0000
-2.1479 3.7203 0.0000
0.0000 0.0000 6.7430
Ho Sc Ga Cu
1 1 2 2
Cartesian
0.0000 0.0000 0.0000
0.0000 0.0000 3.3715
0.0000 2.4802 1.8803
2.1479 1.2401 4.8628
0.0000 2.4802 4.8319
2.1479 1.2401 1.9111
```


No. 6
CoRe3: theoretical powder XRD pattern (a wavelength of 1.5418 Å), based on a structure optimized by DFT (GGA-PBE).
Lines closer than 0.1° are merged.

Most intense lines, 2θ from 5° to 70°, in order of falling intensity:
2θ (°), I (rel.)
43.81, 100
41.55, 26
38.32, 24
69.28, 17
57.79, 15
27.96, 13
33.02, 6
18.89, 6
55.94, 4
54.07, 3
46.01, 1
67.67, 1

```
CoRe3
1.0
5.4249 0.0000 0.0000
-2.7125 4.6981 0.0000
0.0000 0.0000 4.3468
Co Re
2 6
Cartesian
0.0000 3.1321 1.0867
2.7125 1.5660 3.2601
0.0000 1.5638 3.2601
-1.3581 3.9162 3.2601
1.3543 0.7819 1.0867
1.3581 3.9162 3.2601
4.0706 0.7819 1.0867
2.7125 3.1343 1.0867
```


No. 7
PrDy2Ga2Cu2: theoretical powder XRD pattern (a wavelength of 1.5418 Å), based on a structure optimized by DFT (GGA-PBE).
Lines closer than 0.1° are merged.

Most intense lines, 2θ from 5° to 70°, in order of falling intensity:
2θ (°), I (rel.)
40.64, 100
34.97, 98
32.55, 82
23.36, 45
66.00, 31
54.67, 27
53.01, 21
68.87, 18
49.61, 12
58.73, 11
26.55, 10
50.80, 9

```
PrDy2Ga2Cu2
1.0
2.2199 1.2817 9.1876
-2.2199 1.2817 9.1876
0.0000 -2.5634 9.1876
Pr Dy Ga Cu
1 2 2 2
Cartesian
0.0000 0.0000 0.0000
0.0000 0.0000 3.4609
0.0000 0.0000 24.1019
0.0000 0.0000 7.1275
0.0000 0.0000 20.4354
0.0000 0.0000 11.1734
0.0000 0.0000 16.3895
```


No. 8
MgZnSi2: theoretical powder XRD pattern (a wavelength of 1.5418 Å), based on a structure optimized by DFT (GGA-PBE).
Lines closer than 0.1° are merged.

Most intense lines, 2θ from 5° to 70°, in order of falling intensity:
2θ (°), I (rel.)
37.72, 100
39.69, 79
19.54, 42
43.93, 29
45.22, 27
45.85, 26
65.36, 19
66.36, 18
22.46, 10
62.11, 10
35.59, 10
36.36, 9

```
MgZnSi2
1.0
2.7737 -3.9583 0.0000
2.7737 3.9583 0.0000
-0.0823 0.0000 2.9887
Mg Zn Si
1 1 2
Cartesian
0.0000 0.0000 0.0000
2.7737 0.0000 0.0000
1.3457 1.9791 1.4943
1.3457 -1.9791 1.4943
```


No. 9
Tb2AlZnIr2: theoretical powder XRD pattern (a wavelength of 1.5418 Å), based on a structure optimized by DFT (GGA-PBE).
Lines closer than 0.1° are merged.

Most intense lines, 2θ from 5° to 70°, in order of falling intensity:
2θ (°), I (rel.)
33.39, 100
44.56, 96
31.03, 75
40.21, 73
31.17, 71
40.32, 69
44.08, 58
24.94, 55
69.79, 33
51.74, 32
56.28, 24
56.72, 22

```
Tb2AlZnIr2
1.0
-2.8694 7.1412 2.8821
2.8694 -7.1412 2.8821
2.8694 7.1412 -2.8821
Tb Al Zn Ir
4 2 2 4
Cartesian
1.3508 2.4593 0.0000
1.3508 -2.4593 2.8821
1.5186 9.6005 0.0000
1.5186 4.6819 2.8821
2.8694 0.0000 1.4411
0.0000 7.1412 1.4411
0.0000 0.0000 1.4411
0.0000 0.0000 4.3232
4.1940 1.6550 0.0000
1.3247 5.4862 0.0000
1.5447 1.6550 2.8821
-1.3247 5.4862 2.8821
```


No. 10
K3SmBr8: theoretical powder XRD pattern (a wavelength of 1.5418 Å), based on a structure optimized by DFT (GGA-PBE).
Lines closer than 0.1° are merged.

Most intense lines, 2θ from 5° to 70°, in order of falling intensity:
2θ (°), I (rel.)
32.89, 100
34.05, 46
20.20, 34
13.12, 33
60.21, 28
23.90, 20
11.08, 17
57.98, 15
48.92, 15
22.27, 11
39.91, 11
41.71, 10

```
K3SmBr8
1.0
-3.7237 3.7237 7.9849
3.7237 -3.7237 7.9849
3.7237 3.7237 -7.9849
K Sm Br
3 1 8
Cartesian
0.0000 0.0000 0.0000
3.7237 0.0000 3.9925
0.0000 3.7237 3.9925
0.0000 0.0000 7.9849
2.0105 2.0105 -1.8095
1.7132 -1.7132 6.1754
2.0105 2.0105 1.8095
1.7132 -1.7132 9.7944
-1.7132 1.7132 6.1754
1.7132 1.7132 6.1754
-1.7132 1.7132 9.7944
1.7132 1.7132 9.7944
```


No. 11
DySc7Hg4: theoretical powder XRD pattern (a wavelength of 1.5418 Å), based on a structure optimized by DFT (GGA-PBE).
Lines closer than 0.1° are merged.

Most intense lines, 2θ from 5° to 70°, in order of falling intensity:
2θ (°), I (rel.)
26.06, 100
33.74, 82
37.52, 77
18.32, 41
53.58, 32
31.64, 32
58.13, 31
34.90, 29
39.34, 29
34.56, 29
40.34, 28
23.65, 26

```
DySc7Hg4
1.0
6.9504 -2.6562 0.0000
6.9504 2.6562 0.0000
-4.8623 0.0000 7.7853
Dy Sc Hg
1 7 4
Cartesian
0.0000 0.0000 0.0000
-1.0641 0.0000 3.2159
-1.3750 0.0000 6.8782
2.1513 0.0000 2.4373
6.9504 0.0000 0.0000
6.8872 0.0000 5.3480
10.4134 0.0000 0.9071
10.1026 0.0000 4.5694
1.1259 0.0000 5.1677
4.9075 0.0000 2.1256
4.1309 0.0000 5.6597
7.9125 0.0000 2.6176
```


No. 12
Pm5PuPb5: theoretical powder XRD pattern (a wavelength of 1.5418 Å), based on a structure optimized by DFT (GGA-PBE).
Lines closer than 0.1° are merged.

Most intense lines, 2θ from 5° to 70°, in order of falling intensity:
2θ (°), I (rel.)
28.03, 100
40.04, 52
65.51, 19
49.20, 14
50.00, 14
39.61, 13
40.55, 13
57.88, 9
15.34, 6
65.66, 6
10.46, 6
58.05, 4

```
Pm5PuPb5
1.0
7.1848 -3.1873 0.0000
7.1848 3.1873 0.0000
-2.7752 0.0000 8.4544
Pm Pu Pb
5 1 5
Cartesian
0.0000 0.0000 0.0000
4.3150 0.0000 1.3867
2.9350 0.0000 5.6759
8.6594 0.0000 2.7785
7.2794 0.0000 7.0677
-1.3876 0.0000 4.2272
1.4200 0.0000 2.8220
0.0334 0.0000 7.0301
5.7972 0.0000 4.2272
11.5610 0.0000 1.4243
10.1743 0.0000 5.6324
```